Starting from a cell relaxed with PBE, the X-ray powder pattern of Ag2As2O7 was simulated for Cu Kα.
Peak positions follow from Bragg's law for the DFT cell and can differ from measured ones.

```
22
Lattice="0.000 4.908 4.908 4.908 0.000 4.908 4.908 4.908 0.000" Properties=species:S:1:pos:R:3 pbc="T T T"
Ag 0.000 0.000 0.000
Ag 2.454 2.454 0.000
Ag 2.454 0.000 2.454
Ag 0.000 2.454 2.454
As 4.908 2.454 2.454
As 2.454 4.908 2.454
As 2.454 2.454 4.908
As 4.908 4.908 4.908
O 1.227 1.227 1.227
O 3.681 3.681 1.756
O 3.681 1.756 3.681
O 5.606 3.681 3.681
O 6.135 6.135 4.210
O 6.135 4.210 6.135
O 8.060 6.135 6.135
O 1.756 3.681 3.681
O 3.681 5.606 3.681
O 3.681 3.681 5.606
O 4.210 6.135 6.135
O 6.135 8.060 6.135
O 6.135 6.135 8.060
O 8.589 8.589 8.589
```

The 10 most intense peaks (10 to 90 degrees two-theta), in order of rising 2θ:
- 31.57 deg, I 100
- 36.62 deg, I 29
- 40.04 deg, I 6
- 48.17 deg, I 2
- 52.75 deg, I 44
- 62.79 deg, I 39
- 65.93 deg, I 10
- 77.85 deg, I 6
- 86.42 deg, I 16
- 89.25 deg, I 14